The following is a computed powder X-ray diffraction pattern of CaTlBiPtN. It was derived from a structure optimized by DFT (PBE), using a wavelength of 1.5418 Å.

Structure:
a = 3.6239 Å, b = 3.1588 Å, c = 19.5609 Å
α = 90.00°, β = 90.00°, γ = 90.00°
Element x y z (fractional)
Ca: 0.0000 0.0000 0.0000
Ca: 0.0000 0.5000 0.5000
Tl: 0.5000 0.0000 0.3522
Tl: 0.5000 0.5000 0.8522
Bi: 0.0000 0.0000 0.7076
Bi: 0.0000 0.5000 0.2076
Pt: 0.5000 0.0000 0.1138
Pt: 0.5000 0.5000 0.6138
N: 0.5000 0.0000 0.5414
N: 0.5000 0.5000 0.0414

Main lines, most intense first (2θ = 10–90°):
2θ = 30.7°, I 100
2θ = 38.1°, I 73
2θ = 31.5°, I 52
2θ = 36.6°, I 38
2θ = 50.4°, I 36
2θ = 67.5°, I 22
2θ = 36.8°, I 20
2θ = 18.1°, I 19
2θ = 60.6°, I 17
2θ = 63.8°, I 16